(1)
Diffraction record for LiDy2Mn4O8. The X-ray diffraction stick pattern is computed, not measured: it uses a GGA+U-relaxed structure and Cu Kα (weighted mean of Kα1 and Kα2).

Structure:
Cell: 6.245 6.278 6.733 Å, 64.16 62.64 89.70°
Space group P1 (No. 1)
Symmetry-distinct sites (fractional):
Li: 0.000 0.000 0.000 [1 per cell]
Dy: 0.233 0.743 0.521 [1 per cell]
Dy: 0.484 0.557 0.999 [1 per cell]
Mn: 0.400 0.191 0.683 [1 per cell]
Mn: 0.829 0.615 0.321 [1 per cell]
Mn: 0.846 0.140 0.291 [1 per cell]
Mn: 0.875 0.180 0.707 [1 per cell]
O: 0.072 0.410 0.285 [1 per cell]
O: 0.072 0.863 0.269 [1 per cell]
O: 0.087 0.349 0.805 [1 per cell]
O: 0.124 0.932 0.733 [1 per cell]
O: 0.615 0.414 0.735 [1 per cell]
O: 0.625 0.418 0.274 [1 per cell]
O: 0.627 0.940 0.719 [1 per cell]
O: 0.648 0.873 0.257 [1 per cell]

Principal peaks in the range 2θ = 15–90°, by angle:
(1 1 0), 3.441 Å, 2θ = 25.9°, I 55
(1 -1 1), 3.411 Å, 2θ = 26.1°, I 51
(-1 1 1), 3.327 Å, 2θ = 26.8°, I 100
(0 2 1), 3.136 Å, 2θ = 28.5°, I 38
(2 0 1), 3.123 Å, 2θ = 28.6°, I 43
(1 0 -1), 3.050 Å, 2θ = 29.3°, I 42
(1 0 2), 3.029 Å, 2θ = 29.5°, I 47
(2 1 1), 2.724 Å, 2θ = 32.9°, I 47
(1 2 2), 2.686 Å, 2θ = 33.4°, I 91
(-1 2 1), 2.679 Å, 2θ = 33.4°, I 39

---

(2)
Diffraction record for Mn2O3F. The X-ray diffraction stick pattern is computed, not measured: it uses a GGA+U-relaxed structure and Cu Kα (weighted mean of Kα1 and Kα2).

Structure:
Cell: 12.113 6.344 6.655 Å, 90.00 90.00 90.00°
Space group Amm2 (No. 38)
Symmetry-distinct sites (fractional):
Mn: 0.000 0.000 0.000 [2 per cell]
Mn: 0.125 0.000 0.525 [4 per cell]
Mn: 0.250 0.000 0.043 [4 per cell]
Mn: 0.374 0.000 0.507 [4 per cell]
Mn: 0.500 0.000 0.038 [2 per cell]
O: 0.000 0.000 0.712 [2 per cell]
O: 0.125 0.192 0.020 [8 per cell]
O: 0.250 0.000 0.333 [4 per cell]
O: 0.375 0.194 0.028 [8 per cell]
O: 0.500 0.000 0.326 [2 per cell]
F: 0.000 0.000 0.303 [2 per cell]
F: 0.256 0.000 0.734 [4 per cell]
F: 0.500 0.000 0.714 [2 per cell]

Principal peaks in the range 2θ = 15–90°, by angle:
(0 0 2), 3.328 Å, 2θ = 26.8°, I 89
(0 2 0), 3.172 Å, 2θ = 28.1°, I 92
(4 1 1), 2.528 Å, 2θ = 35.5°, I 100
(0 2 2), 2.296 Å, 2θ = 39.2°, I 15
(4 0 2), 2.240 Å, 2θ = 40.3°, I 17
(4 1 3), 1.722 Å, 2θ = 53.2°, I 54
(4 3 1), 1.678 Å, 2θ = 54.7°, I 53
(0 0 4), 1.664 Å, 2θ = 55.2°, I 17
(8 0 0), 1.514 Å, 2θ = 61.2°, I 17
(4 3 3), 1.366 Å, 2θ = 68.7°, I 48

---

(3)
Diffraction record for Li4VCrW2O12. The X-ray diffraction stick pattern is computed, not measured: it uses a GGA+U-relaxed structure and Cu Kα (weighted mean of Kα1 and Kα2).

Structure:
Cell: 5.141 5.424 7.461 Å, 85.46 89.99 89.90°
Space group P1 (No. 1)
Symmetry-distinct sites (fractional):
Li: 0.000 0.000 0.000 [1 per cell]
Li: 0.001 0.165 0.583 [1 per cell]
Li: 0.488 0.513 0.003 [1 per cell]
Li: 0.505 0.638 0.573 [1 per cell]
V: 0.496 0.047 0.274 [1 per cell]
Cr: 0.998 0.587 0.793 [1 per cell]
W: 0.506 0.084 0.776 [1 per cell]
W: 0.988 0.554 0.290 [1 per cell]
O: 0.115 0.608 0.049 [1 per cell]
O: 0.190 0.906 0.739 [1 per cell]
O: 0.194 0.278 0.351 [1 per cell]
O: 0.309 0.787 0.349 [1 per cell]
O: 0.315 0.391 0.739 [1 per cell]
O: 0.382 0.093 0.050 [1 per cell]
O: 0.617 0.077 0.536 [1 per cell]
O: 0.677 0.777 0.852 [1 per cell]
O: 0.688 0.390 0.229 [1 per cell]
O: 0.794 0.896 0.233 [1 per cell]
O: 0.807 0.265 0.848 [1 per cell]
O: 0.886 0.575 0.536 [1 per cell]

Principal peaks in the range 2θ = 15–90°, by angle:
(0 1 1), 4.548 Å, 2θ = 19.5°, I 15
(1 0 1), 4.225 Å, 2θ = 21.0°, I 36
(0 0 2), 3.723 Å, 2θ = 23.9°, I 100
(1 1 2), 2.706 Å, 2θ = 33.1°, I 37
(2 0 0), 2.567 Å, 2θ = 35.0°, I 16
(-1 2 1), 2.325 Å, 2θ = 38.7°, I 9
(1 -2 1), 2.232 Å, 2θ = 40.4°, I 12
(2 -2 0), 1.863 Å, 2θ = 48.9°, I 12
(2 2 2), 1.703 Å, 2θ = 53.8°, I 12
(-1 1 4), 1.701 Å, 2θ = 53.9°, I 13